Structure and calculated X-ray powder pattern of Er2Ni12Ge7 (a cell relaxed with PBE; Cu Kα (weighted mean of Kα1 and Kα2)).

```
data_Er2Ni12Ge7
_symmetry_space_group_name_H-M 'P -6'
_symmetry_Int_Tables_number 174
_symmetry_space_group_name_Hall 'P -6'
_cell_length_a 9.4099
_cell_length_b 9.4099
_cell_length_c 3.7716
_cell_angle_alpha 90.00
_cell_angle_beta 90.00
_cell_angle_gamma 120.00
loop_
_atom_site_label
_atom_site_type_symbol
_atom_site_fract_x
_atom_site_fract_y
_atom_site_fract_z
Er1 Er 0.0000 0.0000 0.0000
Er2 Er 0.3333 0.6667 0.5000
Ni1 Ni 0.0384 0.7554 0.5000
Ni2 Ni 0.1150 0.3857 0.0000
Ni3 Ni 0.3842 0.2026 0.0000
Ni4 Ni 0.5545 0.1296 0.5000
Ge1 Ge 0.0629 0.6051 0.0000
Ge2 Ge 0.2602 0.0326 0.5000
Ge3 Ge 0.6667 0.3333 0.0000
```

Largest 12 diffraction maxima, in order of rising 2θ, 10° ≤ 2θ ≤ 90°:
2θ (°), Rel. int., hkl
32.34, 170, 2 0 1
32.97, 126, 3 0 0
37.71, 1000, 1 2 1
38.26, 114, 2 2 0
39.89, 109, 3 1 0
45.44, 95, 2 2 1
46.86, 211, 3 1 1
48.26, 247, 0 0 2
51.38, 230, 4 1 0
54.80, 171, 2 3 1
73.15, 156, 4 1 2
82.95, 119, 1 2 3



Structure and calculated X-ray powder pattern of Pr2B3N2 (a cell relaxed with PBE; Cu Kα (weighted mean of Kα1 and Kα2)).

```
data_Pr2B3N2
_symmetry_space_group_name_H-M 'P 1 2/m 1'
_symmetry_Int_Tables_number 10
_symmetry_space_group_name_Hall '-P 2y'
_cell_length_a 3.398
_cell_length_b 4.043
_cell_length_c 6.810
_cell_angle_alpha 90.00
_cell_angle_beta 104.57
_cell_angle_gamma 90.00
loop_
_atom_site_label
_atom_site_type_symbol
_atom_site_fract_x
_atom_site_fract_y
_atom_site_fract_z
Pr1 Pr 0.132 0.000 0.270
B1 B 0.283 0.500 0.563
B2 B 0.500 0.500 0.000
N1 N 0.398 0.500 0.791
```

Largest 12 diffraction maxima, in order of rising 2θ, 10° ≤ 2θ ≤ 90°:
2θ (°), Rel. int., hkl
21.99, 486, 0 1 0
27.07, 720, 0 0 2
33.33, 337, 1 0 -2
35.15, 1000, 0 1 2
40.29, 485, 1 1 -2
44.84, 161, 0 2 0
53.16, 232, 0 2 2
55.78, 117, 1 0 -4
57.00, 148, 1 2 -2
60.68, 149, 1 1 -4
74.27, 164, 1 2 -4
76.36, 101, 0 3 2